For CsKCuBr2, a cell relaxed with GGA-PBE gives the computed powder XRD pattern in this record (Cu Kα (λ = 1.5418 Å)).

Structure:
Cell lengths 6.7009, 6.7009, 5.4968 Å; angles 90.00, 90.00, 90.00 degrees
Space group P4/mmm (No. 123)
One atom of each set of equivalent atoms:
Cs (0.0000, 0.0000, 0.0000)
K (0.5000, 0.5000, 0.5000)
Cu (0.0000, 0.0000, 0.5000)
Br (0.0000, 0.5000, 0.0000)

Peak list (6 most intense, 10 to 90 degrees two-theta, most intense first)
two_theta, I (rel.)
26.6, 100
13.2, 75
42.5, 54
38.0, 38
16.1, 34
50.9, 32